[1]
# ZrPd8Au2
Calculated powder XRD pattern, Cu Kα. Input: DFT lattice parameters and positions (GGA-PBE).

```
data_ZrPd8Au2
_symmetry_space_group_name_H-M 'C m m m'
_symmetry_Int_Tables_number 65
_symmetry_space_group_name_Hall '-C 2 2'
_cell_length_a 8.1899
_cell_length_b 10.8748
_cell_length_c 4.3063
_cell_angle_alpha 90.00
_cell_angle_beta 90.00
_cell_angle_gamma 90.00
loop_
_atom_site_label
_atom_site_type_symbol
_atom_site_fract_x
_atom_site_fract_y
_atom_site_fract_z
_atom_site_occupancy
Zr1 Zr 0.0000 0.0000 0.0000 1
Pd1 Pd 0.0000 0.2402 0.0000 1
Pd2 Pd 0.1676 0.1315 0.5000 1
Pd3 Pd 0.1714 0.5000 0.0000 1
Au1 Au 0.0000 0.3763 0.5000 1
```

Most intense lines, 10° ≤ 2θ ≤ 80°, in order of rising 2θ:
| Position (°2θ) | I (rel.) |
| --- | --- |
| 21.70 | 17 |
| 39.19 | 100 |
| 39.97 | 85 |
| 41.41 | 37 |
| 41.96 | 42 |
| 53.90 | 18 |
| 60.42 | 24 |
| 70.56 | 16 |

[2]
# Li2ZnH6Rh
Calculated powder XRD pattern, Cu Kα. Input: DFT lattice parameters and positions (GGA-PBE).

```
data_Li2ZnH6Rh
_symmetry_space_group_name_H-M 'P -1'
_symmetry_Int_Tables_number 2
_cell_length_a 4.8577
_cell_length_b 4.8717
_cell_length_c 4.8861
_cell_angle_alpha 119.81
_cell_angle_beta 119.67
_cell_angle_gamma 90.19
loop_
_symmetry_equiv_pos_as_xyz
'x,y,z'
'-x,-y,-z'
loop_
_atom_site_label
_atom_site_type_symbol
_atom_site_fract_x
_atom_site_fract_y
_atom_site_fract_z
_atom_site_occupancy
Li1 Li 0.2490 0.2496 0.4978 1
Zn1 Zn 0.0000 0.5000 0.0000 1
H1 H 0.2029 0.8187 0.0016 1
H2 H 0.2574 0.7523 0.5129 1
H3 H 0.3163 0.2928 0.9953 1
Rh1 Rh 0.5000 0.0000 0.0000 1
```

Most intense lines, 10° ≤ 2θ ≤ 80°, in order of rising 2θ:
| Position (°2θ) | I (rel.) |
| --- | --- |
| 25.62 | 52 |
| 25.90 | 100 |
| 36.75 | 93 |
| 36.90 | 23 |
| 37.01 | 23 |
| 45.49 | 29 |
| 59.59 | 18 |
| 66.46 | 16 |

[3]
# CsH2IF2
Calculated powder XRD pattern, Cu Kα. Input: DFT lattice parameters and positions (GGA-PBE).

```
data_CsH2IF2
_symmetry_space_group_name_H-M 'P 1 21/m 1'
_symmetry_Int_Tables_number 11
_cell_length_a 7.4637
_cell_length_b 4.2389
_cell_length_c 10.1655
_cell_angle_alpha 90.00
_cell_angle_beta 111.47
_cell_angle_gamma 90.00
loop_
_symmetry_equiv_pos_as_xyz
'x,y,z'
'-x,-y,-z'
'-x,y+1/2,-z'
'x,-y+1/2,z'
loop_
_atom_site_label
_atom_site_type_symbol
_atom_site_fract_x
_atom_site_fract_y
_atom_site_fract_z
_atom_site_occupancy
Cs1 Cs 0.1740 0.2500 0.3476 1
H1 H 0.2384 0.0000 0.0001 1
I1 I 0.3335 0.7500 0.6675 1
F1 F 0.2014 0.2500 0.9506 1
F2 F 0.2514 0.7500 0.0497 1
```

Most intense lines, 10° ≤ 2θ ≤ 80°, in order of rising 2θ:
| Position (°2θ) | I (rel.) |
| --- | --- |
| 22.99 | 67 |
| 23.84 | 33 |
| 25.66 | 39 |
| 28.28 | 100 |
| 33.36 | 64 |
| 37.32 | 63 |
| 50.49 | 30 |
| 57.36 | 20 |

[4]
# AgSn3Br8
Calculated powder XRD pattern, Cu Kα. Input: DFT lattice parameters and positions (GGA-PBE).

```
data_AgSn3Br8
_symmetry_space_group_name_H-M 'C 1 2/m 1'
_symmetry_Int_Tables_number 12
_cell_length_a 14.2345
_cell_length_b 8.7405
_cell_length_c 8.2581
_cell_angle_alpha 90.00
_cell_angle_beta 123.37
_cell_angle_gamma 90.00
loop_
_symmetry_equiv_pos_as_xyz
'x,y,z'
'-x,-y,-z'
'-x,y,-z'
'x,-y,z'
'x+1/2,y+1/2,z'
'-x+1/2,-y+1/2,-z'
'-x+1/2,y+1/2,-z'
'x+1/2,-y+1/2,z'
loop_
_atom_site_label
_atom_site_type_symbol
_atom_site_fract_x
_atom_site_fract_y
_atom_site_fract_z
_atom_site_occupancy
Ag1 Ag 0.0000 0.0000 0.0000 1
Sn1 Sn 0.0000 0.5000 0.0000 1
Sn2 Sn 0.2500 0.2500 0.5000 1
Br1 Br 0.0031 0.2736 0.7612 1
Br2 Br 0.2289 0.0000 0.2346 1
Br3 Br 0.2423 0.5000 0.2329 1
```

Most intense lines, 10° ≤ 2θ ≤ 80°, in order of rising 2θ:
| Position (°2θ) | I (rel.) |
| --- | --- |
| 13.28 | 70 |
| 24.11 | 32 |
| 29.78 | 100 |
| 30.07 | 48 |
| 41.32 | 19 |
| 42.24 | 36 |
| 43.41 | 34 |
| 51.94 | 18 |

Number 4 is which compound? AgSn3Br8